For Na6BeO4, a GGA-PBE-relaxed structure gives the theoretical powder XRD pattern in this record (Cu Kα (weighted mean of Kα1 and Kα2)).
Kinematic intensities with the Lorentz-polarization factor, no thermal factor.

```
22
Lattice="7.3146 0.0000 0.0000 -3.6573 6.3347 0.0000 0.0000 0.0000 5.7681" Properties=species:S:1:pos:R:3 pbc="T T T"
Na -1.4624 3.3788 0.0000
Na 0.0000 1.8313 3.8996
Na -2.0714 5.4190 3.8996
Na 1.5860 0.9157 1.0156
Na 1.4624 3.3788 0.0000
Na 0.0000 5.9118 0.0000
Na 3.6573 0.4229 2.8841
Na 2.1949 2.9559 2.8841
Na 2.0714 5.4190 3.8996
Na 5.7287 0.9157 1.0156
Na 3.6573 4.5033 1.0156
Na 5.1198 2.9559 2.8841
Be 0.0000 4.2231 2.2726
Be 3.6573 2.1116 5.1567
O 0.0000 2.5631 1.6934
O -1.4376 5.0531 1.6934
O 0.0000 4.2231 3.9737
O 2.2197 1.2815 4.5774
O 1.4376 5.0531 1.6934
O 3.6573 2.1116 1.0896
O 5.0950 1.2815 4.5774
O 3.6573 3.7716 4.5774
```

Main lines, by angle (10° ≤ 2θ ≤ 80°):
- d 6.335, rel. 28, (1 0 0)
- d 2.776, rel. 17, (2 0 1)
- d 2.625, rel. 23, (1 0 2)
- d 2.211, rel. 98, (2 1 1)
- d 2.132, rel. 100, (2 0 2)
- d 2.112, rel. 16, (3 0 0)
- d 1.983, rel. 46, (3 0 1)
- d 1.841, rel. 39, (1 0 3)
- d 1.829, rel. 53, (2 2 0)
- d 1.644, rel. 17, (2 0 3)

---

For BaNb4O11, a GGA-PBE-relaxed structure gives the theoretical powder XRD pattern in this record (Cu Kα (weighted mean of Kα1 and Kα2)).
Kinematic intensities with the Lorentz-polarization factor, no thermal factor.

```
32
Lattice="6.4032 0.0000 0.0000 -3.2016 5.5453 0.0000 0.0000 0.0000 12.6641" Properties=species:S:1:pos:R:3 pbc="T T T"
Ba 0.0000 3.6969 3.1660
Ba 3.2016 1.8484 9.4981
Nb -1.1348 1.9654 6.3321
Nb -2.0668 3.5799 0.0000
Nb 0.0000 3.6969 9.4981
Nb 2.2695 0.0000 6.3321
Nb 1.1348 1.9654 0.0000
Nb 4.1337 0.0000 0.0000
Nb 2.0668 3.5799 6.3321
Nb 3.2016 1.8484 3.1660
O -0.7795 1.3502 0.0000
O -2.4221 4.1952 6.3321
O -0.9385 2.4129 8.2594
O -1.5812 3.5261 10.7368
O 1.5590 0.0000 0.0000
O 0.7795 1.3502 6.3321
O 0.0000 3.6969 0.4245
O 0.0000 3.6969 5.9076
O 0.9385 2.4129 10.7368
O -0.6427 5.1516 8.2594
O 2.5589 0.3937 4.4047
O 1.6204 2.0192 1.9273
O 1.5812 3.5261 8.2594
O 0.6427 5.1516 10.7368
O 3.8443 0.3937 1.9273
O 2.2631 3.1324 4.4047
O 3.2016 1.8484 6.7565
O 3.2016 1.8484 12.2396
O 4.8442 0.0000 6.3321
O 2.4221 4.1952 0.0000
O 4.7828 2.0192 4.4047
O 4.1401 3.1324 1.9273
```

Main lines, by angle (10° ≤ 2θ ≤ 80°):
- d 5.545, rel. 56, (1 0 0)
- d 4.172, rel. 24, (1 0 2)
- d 3.166, rel. 49, (0 0 4)
- d 3.104, rel. 66, (1 1 1)
- d 2.857, rel. 100, (1 1 2)
- d 1.987, rel. 20, (1 1 5)
- d 1.848, rel. 37, (3 0 0)
- d 1.762, rel. 32, (1 1 6)
- d 1.596, rel. 38, (3 0 4)
- d 1.552, rel. 15, (2 2 2)